# Li2Ti4NiP4O20
Calculated powder X-ray diffraction pattern, Cu Kα, 1.54184 Å. Input: a structure optimized by DFT (GGA+U).
Lines closer than 0.1° are merged.

Principal peaks in the range 2θ = 10–80°, in order of falling intensity:
2θ 26.78, I = 100, (0 1 -2); 2θ 27.66, I = 48, (2 0 0); 2θ 18.38, I = 34, (1 -1 0); 2θ 27.03, I = 33, (0 2 1); 2θ 30.54, I = 21, (-1 2 1); 2θ 38.91, I = 17, (2 2 -1); 2θ 39.21, I = 17, (1 3 0); 2θ 30.16, I = 16, (1 1 2)

Cell and atoms:
```
data_Li2Ti4NiP4O20
_chemical_formula_sum 'Li2 Ti4 Ni1 P4 O20'
_space_group_name_H-M_alt 'P -1'
_space_group_IT_number 2
_cell_length_a 6.449
_cell_length_b 7.354
_cell_length_c 7.468
_cell_angle_alpha 90.00
_cell_angle_beta 89.96
_cell_angle_gamma 89.47
loop_
_space_group_symop_operation_xyz
'x,y,z'
'-x,-y,-z'
loop_
_atom_site_label
_atom_site_fract_x
_atom_site_fract_y
_atom_site_fract_z
Li1 0.000 0.000 0.000
Li2 0.000 0.500 0.500
Ti1 0.247 0.214 0.332
Ti2 0.260 0.271 0.840
Ni1 0.500 0.500 0.500
P1 0.245 0.873 0.623
P2 0.249 0.624 0.128
O1 0.054 0.747 0.616
O2 0.055 0.746 0.139
O3 0.231 0.160 0.110
O4 0.233 0.001 0.786
O5 0.245 0.506 0.958
O6 0.257 0.982 0.446
O7 0.259 0.498 0.300
O8 0.268 0.350 0.615
O9 0.440 0.746 0.634
O10 0.443 0.744 0.127
```